The following is a simulated XRD peak list of Al4Si2HO9F3. It was derived from DFT lattice parameters and positions (GGA-PBE), using Cu Kα (λ = 1.5418 Å).
Kinematic intensities with the Lorentz-polarization factor, no thermal factor.

Structure:
a b c (Å): 4.7340 8.9298 9.7106
angles (deg): 90.00 119.04 90.00
Space group Pc (No. 7)
Symmetry-distinct sites (fractional):
Al: 0.0000 0.1182 0.0000 x2
Al: 0.3106 0.3820 0.4994 x2
Al: 0.6667 0.1198 0.6625 x2
Al: 0.9760 0.3814 0.1646 x2
Si: 0.3422 0.3104 0.8325 x2
Si: 0.6389 0.1928 0.3321 x2
H: 0.1370 0.0158 0.2499 x2
O: 0.0392 0.2175 0.8343 x2
O: 0.2762 0.4929 0.8318 x2
O: 0.2942 0.2408 0.1749 x2
O: 0.3756 0.2619 0.6754 x2
O: 0.6027 0.2415 0.4878 x2
O: 0.6892 0.0078 0.3320 x2
O: 0.6889 0.2636 0.9885 x2
O: 0.9443 0.2830 0.3323 x2
O: 0.9571 0.0020 0.1446 x2
F: 0.0311 0.4997 0.0268 x2
F: 0.3327 0.0029 0.5189 x2
F: 0.6422 0.4993 0.6380 x2

The 12 most intense peaks (2θ from 10° to 90°), low angle first:
2θ 23.7, d 3.752, intensity 66.6; 2θ 27.5, d 3.248, intensity 83.8; 2θ 29.0, d 3.076, intensity 35.3; 2θ 30.0, d 2.979, intensity 100.0; 2θ 37.6, d 2.390, intensity 48.6; 2θ 42.4, d 2.134, intensity 54.7; 2θ 43.3, d 2.091, intensity 30.6; 2θ 48.4, d 1.882, intensity 27.1; 2θ 54.0, d 1.698, intensity 31.4; 2θ 64.8, d 1.439, intensity 41.3; 2θ 65.5, d 1.426, intensity 25.5; 2θ 66.0, d 1.415, intensity 25.4